Diffraction record for K3Zn2Ga4. The powder XRD pattern is computed, not measured: it uses a cell relaxed with PBE and Cu Ka.

Peak list (8 most intense, 10 to 80 degrees two-theta, by intensity)
hkl	two_theta	d (Å)	I/Imax
0 1 0	14.43	6.137	100.0
1 -1 3	39.56	2.278	45.9
1 1 -4	41.34	2.184	31.0
1 1 -2	30.42	2.938	29.7
-2 1 1	40.87	2.208	29.6
1 1 0	31.23	2.864	23.5
0 2 -1	27.93	3.194	22.7
0 2 0	29.10	3.068	22.0

Cell lengths 4.416, 6.770, 9.593 Å; angles 100.75, 103.29, 109.01 degrees
Atoms (fractional coordinates):
1 K 0.000 0.000 0.000
2 K 0.256 0.883 0.630
3 K 0.744 0.117 0.370
4 Zn 0.103 0.435 0.770
5 Zn 0.897 0.565 0.230
6 Ga 0.345 0.607 0.083
7 Ga 0.460 0.550 0.372
8 Ga 0.540 0.450 0.628
9 Ga 0.655 0.393 0.917